[1]
# Ba4AsN
Calculated powder diffraction line list, CuKα. Input: DFT lattice parameters and positions (PBE).
No peak broadening, texture or thermal motion is included.

Principal peaks in the range 2θ from 5° to 70°, most intense first:
2θ/deg, I/Imax
26.16, 100
11.30, 72
25.63, 65
33.14, 48
31.56, 35
41.34, 32
22.70, 30
40.38, 25
52.67, 22
25.02, 21

Structure:
Lattice parameters (Å, degrees): 7.789 4.400 7.844 90.00 93.01 90.00
Space group P2/m (No. 10)
Asymmetric unit:
Ba 0.152 0.000 0.198 (multiplicity 2)
Ba 0.279 0.500 0.789 (multiplicity 2)
As 0.500 0.000 0.000 (multiplicity 1)
N 0.000 0.500 0.000 (multiplicity 1)

---

[2]
# PmAg2H8Rh3
Calculated powder diffraction line list, CuKα. Input: DFT lattice parameters and positions (PBE).
No peak broadening, texture or thermal motion is included.

Principal peaks in the range 2θ from 5° to 70°, most intense first:
2θ/deg, I/Imax
36.10, 100
37.73, 32
36.30, 31
30.59, 23
30.78, 21
63.67, 18
64.12, 17
58.03, 17
58.15, 15
38.06, 12

Structure:
Lattice parameters (Å, degrees): 5.8458 5.8458 14.1866 90.00 90.00 120.00
Space group R3m (No. 160, hexagonal axes)
Asymmetric unit:
Pm 0.0000 0.0000 0.0000 (multiplicity 3)
Ag 0.0000 0.0000 0.2551 (multiplicity 3)
Ag 0.0000 0.0000 0.6150 (multiplicity 3)
H 0.0000 0.0000 0.3924 (multiplicity 3)
H 0.0000 0.0000 0.8373 (multiplicity 3)
H 0.0699 0.5349 0.3963 (multiplicity 9)
H 0.1691 0.3381 0.1700 (multiplicity 9)
Rh 0.0033 0.5016 0.1203 (multiplicity 9)